# 1
For Ag5PS4F2, a crystal structure in Alexandria, relaxed with GGA-PBE gives the computed powder diffraction line list in this record (copper Kα).

Cell and atoms:
```
Ag5PS4F2
1.0
7.160 0.000 0.000
0.000 5.573 2.984
0.000 -5.573 2.984
Ag P S F
5 1 4 2
Cartesian
0.000 0.000 0.000 Ag
1.853 -2.212 3.029 Ag
1.853 2.212 3.029 Ag
5.307 -2.212 3.029 Ag
5.307 2.212 3.029 Ag
3.580 0.000 0.628 P
1.844 0.000 1.768 S
3.580 -3.908 2.360 S
3.580 3.908 2.360 S
5.316 0.000 1.768 S
0.000 -1.897 4.471 F
0.000 1.897 4.471 F
```

Most intense lines, 2θ = 10–90°, sorted by position:
2θ (°)	Rel. int.
15.9	30
28.3	100
29.7	60
29.9	46
30.2	87
38.0	28
42.6	88
50.6	61
51.0	23
52.2	22

---

# 2
For RbErMnTe3, a crystal structure in Alexandria, relaxed with GGA-PBE gives the computed powder diffraction line list in this record (copper Kα).

Cell and atoms:
```
RbErMnTe3
1.0
9.936 0.000 0.000
0.000 4.471 0.000
-3.678 0.000 10.032
Rb Er Mn Te
2 2 2 6
Cartesian
1.209 1.118 2.423 Rb
5.048 3.353 7.609 Rb
0.128 3.353 8.641 Er
6.130 1.118 1.390 Er
-1.399 1.118 6.092 Mn
7.656 3.353 3.940 Mn
-2.028 1.118 8.680 Te
0.104 3.353 5.434 Te
4.050 3.353 1.630 Te
2.208 1.118 8.401 Te
6.154 1.118 4.598 Te
8.286 3.353 1.351 Te
```

Most intense lines, 2θ = 10–90°, sorted by position:
2θ (°)	Rel. int.
10.5	91
26.7	40
26.9	100
27.6	42
31.4	23
33.7	25
36.5	32
39.9	41
40.3	30
44.1	28

---

# 3
For Tm8Pt2Au, a crystal structure in Alexandria, relaxed with GGA-PBE gives the computed powder diffraction line list in this record (copper Kα).

Cell and atoms:
```
Tm8Pt2Au
1.0
4.222 -6.480 0.000
4.222 6.480 0.000
-1.663 0.000 5.340
Tm Pt Au
8 2 1
Cartesian
0.000 0.000 0.000 Tm
0.411 1.654 3.133 Tm
2.823 2.940 0.996 Tm
0.411 -1.654 3.133 Tm
3.601 1.651 4.139 Tm
2.823 -2.940 0.996 Tm
3.601 -1.651 4.139 Tm
5.652 0.000 1.979 Tm
2.003 3.959 3.669 Pt
2.003 -3.959 3.669 Pt
2.639 0.000 1.580 Au
```

Most intense lines, 2θ = 10–90°, sorted by position:
2θ (°)	Rel. int.
30.7	66
31.5	56
32.3	100
32.8	51
33.3	99
35.6	85
36.4	56
37.1	43
38.8	96
39.5	52

---

# 4
For Ho4In5S13, a crystal structure in Alexandria, relaxed with GGA-PBE gives the computed powder diffraction line list in this record (copper Kα).

Cell and atoms:
```
Ho4In5S13
1.0
11.934 0.000 0.000
0.000 21.496 0.000
0.000 0.000 3.846
Ho In S
8 10 26
Cartesian
0.236 3.770 0.000 Ho
2.170 7.298 0.000 Ho
3.796 18.046 0.000 Ho
5.731 14.518 0.000 Ho
6.202 6.978 0.000 Ho
8.137 3.450 0.000 Ho
9.763 14.198 0.000 Ho
11.698 17.726 0.000 Ho
0.000 10.748 0.000 In
1.829 21.319 1.923 In
1.888 14.329 1.923 In
4.079 3.581 1.923 In
4.138 10.571 1.923 In
5.967 0.000 0.000 In
7.796 10.924 1.923 In
7.855 17.915 1.923 In
10.046 7.167 1.923 In
10.105 0.177 1.923 In
0.000 0.000 0.000 S
0.050 8.754 1.923 S
1.067 5.648 1.923 S
1.727 18.559 1.923 S
1.832 2.473 1.923 S
1.921 15.898 0.000 S
2.445 10.134 0.000 S
3.522 20.882 0.000 S
4.046 5.150 0.000 S
4.134 13.220 1.923 S
4.240 7.811 1.923 S
4.900 16.396 1.923 S
5.917 19.502 1.923 S
5.967 10.748 0.000 S
6.016 1.994 1.923 S
7.034 5.100 1.923 S
7.694 13.685 1.923 S
7.799 8.275 1.923 S
7.888 16.345 0.000 S
8.412 0.614 0.000 S
9.489 11.362 0.000 S
10.013 5.597 0.000 S
10.101 19.023 1.923 S
10.207 2.937 1.923 S
10.867 15.848 1.923 S
11.884 12.742 1.923 S
```

Most intense lines, 2θ = 10–90°, sorted by position:
2θ (°)	Rel. int.
24.9	61
25.6	100
25.7	30
27.4	42
32.7	29
34.7	33
38.2	28
40.5	29
44.2	29
54.5	26